# 1
# TcSb2Br
Computed PXRD pattern, Cu Kα, 1.54184 Å. Input: a cell relaxed with GGA-PBE.
Neutral-atom scattering factors, no anomalous dispersion.

Structural model:
```
data_TcSb2Br
_cell_length_a 7.787
_cell_length_b 3.458
_cell_length_c 8.640
_cell_angle_alpha 90.00
_cell_angle_beta 107.47
_cell_angle_gamma 90.00
_symmetry_space_group_name_H-M 'C 1 2/m 1'
_symmetry_Int_Tables_number 12
_symmetry_space_group_name_Hall '-C 2y'
loop_
_atom_site_label
_atom_site_type_symbol
_atom_site_fract_x
_atom_site_fract_y
_atom_site_fract_z
Tc1 Tc 0.000 0.000 0.000
Sb1 Sb 0.145 0.500 0.836
Br1 Br 0.000 0.500 0.500
```

The 10 most intense peaks (2θ from 10° to 90°), sorted by position:
hkl 0 0 1, 10.73 deg, d = 8.241 Å, intensity 1000; hkl 2 0 -1, 23.13 deg, d = 3.846 Å, intensity 390; hkl 1 1 -1, 29.17 deg, d = 3.062 Å, intensity 875; hkl 1 1 -2, 33.66 deg, d = 2.663 Å, intensity 432; hkl 2 0 2, 37.14 deg, d = 2.421 Å, intensity 434; hkl 1 1 -3, 40.84 deg, d = 2.210 Å, intensity 436; hkl 2 0 -4, 43.36 deg, d = 2.087 Å, intensity 271; hkl 3 1 -1, 43.60 deg, d = 2.076 Å, intensity 449; hkl 1 1 3, 46.64 deg, d = 1.947 Å, intensity 277; hkl 4 0 -2, 47.27 deg, d = 1.923 Å, intensity 185


# 2
# Sb4Te5Br
Computed PXRD pattern, Cu Kα, 1.54184 Å. Input: a cell relaxed with GGA-PBE.
Neutral-atom scattering factors, no anomalous dispersion.

Structural model:
```
data_Sb4Te5Br
_cell_length_a 9.052
_cell_length_b 9.864
_cell_length_c 7.867
_cell_angle_alpha 90.00
_cell_angle_beta 90.00
_cell_angle_gamma 90.00
_symmetry_space_group_name_H-M 'P m m n'
_symmetry_Int_Tables_number 59
loop_
_symmetry_equiv_pos_as_xyz
'x,y,z'
'-x,-y,-z'
'-x+1/2,-y+1/2,z'
'x+1/2,y+1/2,-z'
'x+1/2,-y,-z'
'-x+1/2,y,z'
'-x,y+1/2,-z'
'x,-y+1/2,z'
loop_
_atom_site_label
_atom_site_type_symbol
_atom_site_fract_x
_atom_site_fract_y
_atom_site_fract_z
Sb1 Sb 0.065 0.250 0.020
Sb2 Sb 0.250 0.523 0.604
Te1 Te 0.032 0.548 0.236
Te2 Te 0.250 0.750 0.860
Br1 Br 0.250 0.250 0.438
```

The 10 most intense peaks (2θ from 10° to 90°), sorted by position:
hkl 0 2 1, 21.26 deg, d = 4.179 Å, intensity 870; hkl 2 0 1, 22.66 deg, d = 3.924 Å, intensity 817; hkl 2 1 1, 24.42 deg, d = 3.646 Å, intensity 571; hkl 0 2 2, 29.04 deg, d = 3.075 Å, intensity 1000; hkl 0 3 1, 29.44 deg, d = 3.034 Å, intensity 586; hkl 1 2 2, 30.70 deg, d = 2.912 Å, intensity 702; hkl 3 0 1, 31.76 deg, d = 2.817 Å, intensity 563; hkl 2 2 2, 35.28 deg, d = 2.544 Å, intensity 959; hkl 2 3 1, 35.62 deg, d = 2.520 Å, intensity 527; hkl 2 5 1, 51.87 deg, d = 1.763 Å, intensity 503